Record 1
Simulated X-ray powder pattern of TbEuRh2 for λ = 1.5418 Å (Cu Kα), from a GGA-PBE-relaxed structure.
Intensities are scaled so that the largest is 100.

abc: 4.840 4.840 4.840
angles: 60.00 60.00 60.00
Element x y z (fractional)
1 Tb 0.000 0.000 0.000
2 Eu 0.500 0.500 0.500
3 Rh 0.250 0.250 0.250
4 Rh 0.750 0.750 0.750

Main lines, by intensity (2θ = 5–70°):
37.15°, I = 100; 66.98°, I = 35; 53.56°, I = 17; 26.04°, I = 4; 60.49°, I = 2; 45.93°, I = 1

Record 2
Simulated X-ray powder pattern of RbBiS2 for λ = 1.5418 Å (Cu Kα), from a GGA-PBE-relaxed structure.
Intensities are scaled so that the largest is 100.

abc: 8.110 8.110 8.110
angles: 29.95 29.95 29.95
Element x y z (fractional)
1 Rb 0.000 0.000 0.000
2 Bi 0.500 0.500 0.500
3 S 0.234 0.234 0.234
4 S 0.766 0.766 0.766

Main lines, by intensity (2θ = 5–70°):
29.02°, I = 100; 25.72°, I = 54; 11.43°, I = 42; 39.77°, I = 39; 43.18°, I = 34; 22.98°, I = 26; 49.47°, I = 22; 52.86°, I = 18; 65.68°, I = 16; 46.42°, I = 15

Record 3
Simulated X-ray powder pattern of CaZn2H12Br6O6 for λ = 1.5418 Å (Cu Kα), from a GGA-PBE-relaxed structure.
Intensities are scaled so that the largest is 100.

abc: 8.650 8.650 14.117
angles: 106.37 106.37 79.01
Element x y z (fractional)
1 Ca 0.071 0.071 0.223
2 Ca 0.929 0.929 0.777
3 Zn 0.278 0.278 0.660
4 Zn 0.458 0.458 0.187
5 Zn 0.542 0.542 0.813
6 Zn 0.722 0.722 0.340
7 H 0.008 0.646 0.879
8 H 0.058 0.728 0.596
9 H 0.092 0.234 0.899
10 H 0.145 0.821 0.349
11 H 0.174 0.705 0.886
12 H 0.179 0.855 0.651
13 H 0.231 0.374 0.348
14 H 0.234 0.092 0.899
15 H 0.272 0.942 0.404
16 H 0.295 0.826 0.114
17 H 0.354 0.992 0.121
18 H 0.374 0.231 0.348
19 H 0.626 0.769 0.652
20 H 0.646 0.008 0.879
21 H 0.705 0.174 0.886
22 H 0.728 0.058 0.596
23 H 0.766 0.908 0.101
24 H 0.769 0.626 0.652
25 H 0.821 0.145 0.349
26 H 0.826 0.295 0.114
27 H 0.855 0.179 0.651
28 H 0.908 0.766 0.101
29 H 0.942 0.272 0.404
30 H 0.992 0.354 0.121
31 Br 0.007 0.643 0.398
32 Br 0.178 0.540 0.119
33 Br 0.357 0.993 0.602
34 Br 0.371 0.371 0.850
35 Br 0.446 0.446 0.624
36 Br 0.460 0.822 0.881
37 Br 0.540 0.178 0.119
38 Br 0.554 0.554 0.376
39 Br 0.629 0.629 0.150
40 Br 0.643 0.007 0.398
41 Br 0.822 0.460 0.881
42 Br 0.993 0.357 0.602
43 O 0.057 0.738 0.876
44 O 0.095 0.804 0.661
45 O 0.116 0.116 0.880
46 O 0.196 0.905 0.339
47 O 0.257 0.257 0.325
48 O 0.262 0.943 0.124
49 O 0.738 0.057 0.876
50 O 0.743 0.743 0.675
51 O 0.804 0.095 0.661
52 O 0.884 0.884 0.120
53 O 0.905 0.196 0.339
54 O 0.943 0.262 0.124

Main lines, by intensity (2θ = 5–70°):
27.14°, I = 100; 21.02°, I = 95; 10.74°, I = 92; 15.07°, I = 74; 28.52°, I = 72; 41.85°, I = 66; 26.90°, I = 63; 21.57°, I = 57; 20.09°, I = 54; 11.21°, I = 52

Record 4
Simulated X-ray powder pattern of CsAuS2O8 for λ = 1.5418 Å (Cu Kα), from a GGA-PBE-relaxed structure.
Intensities are scaled so that the largest is 100.

abc: 10.551 9.307 9.247
angles: 90.00 111.41 90.00
Element x y z (fractional)
1 Cs 0.244 0.141 0.388
2 Cs 0.244 0.359 0.888
3 Cs 0.756 0.641 0.112
4 Cs 0.756 0.859 0.612
5 Au 0.289 0.644 0.367
6 Au 0.289 0.856 0.867
7 Au 0.711 0.144 0.133
8 Au 0.711 0.356 0.633
9 S 0.098 0.743 0.540
10 S 0.098 0.757 0.040
11 S 0.474 0.529 0.695
12 S 0.474 0.971 0.195
13 S 0.526 0.029 0.805
14 S 0.526 0.471 0.305
15 S 0.902 0.243 0.960
16 S 0.902 0.257 0.460
17 O 0.041 0.233 0.565
18 O 0.041 0.267 0.065
19 O 0.120 0.640 0.168
20 O 0.120 0.860 0.668
21 O 0.135 0.601 0.605
22 O 0.135 0.899 0.105
23 O 0.200 0.706 0.962
24 O 0.200 0.794 0.462
25 O 0.371 0.506 0.253
26 O 0.371 0.994 0.753
27 O 0.388 0.095 0.132
28 O 0.388 0.405 0.632
29 O 0.454 0.646 0.569
30 O 0.454 0.854 0.069
31 O 0.462 0.595 0.832
32 O 0.462 0.905 0.332
33 O 0.538 0.095 0.668
34 O 0.538 0.405 0.168
35 O 0.546 0.146 0.931
36 O 0.546 0.354 0.431
37 O 0.612 0.595 0.368
38 O 0.612 0.905 0.868
39 O 0.629 0.006 0.247
40 O 0.629 0.494 0.747
41 O 0.800 0.206 0.538
42 O 0.800 0.294 0.038
43 O 0.865 0.101 0.895
44 O 0.865 0.399 0.395
45 O 0.880 0.140 0.332
46 O 0.880 0.360 0.832
47 O 0.959 0.733 0.935
48 O 0.959 0.767 0.435

Main lines, by intensity (2θ = 5–70°):
25.80°, I = 100; 22.02°, I = 90; 25.44°, I = 85; 21.71°, I = 82; 18.06°, I = 74; 24.98°, I = 69; 13.10°, I = 63; 27.56°, I = 60; 19.26°, I = 46; 38.06°, I = 42

Record 5
Simulated X-ray powder pattern of UPSe for λ = 1.5418 Å (Cu Kα), from a GGA-PBE-relaxed structure.
Intensities are scaled so that the largest is 100.

abc: 3.876 3.876 8.318
angles: 90.00 90.00 90.00
Element x y z (fractional)
1 U 0.250 0.250 0.245
2 U 0.750 0.750 0.755
3 P 0.250 0.750 0.500
4 P 0.750 0.250 0.500
5 Se 0.250 0.250 0.866
6 Se 0.750 0.750 0.134

Main lines, by intensity (2θ = 5–70°):
25.35°, I = 100; 39.98°, I = 83; 39.38°, I = 83; 32.68°, I = 73; 21.37°, I = 56; 63.28°, I = 44; 46.89°, I = 40; 60.57°, I = 29; 54.05°, I = 28; 52.07°, I = 23

Record 6
Simulated X-ray powder pattern of SiB6 for λ = 1.5418 Å (Cu Kα), from a GGA-PBE-relaxed structure.
Intensities are scaled so that the largest is 100.

abc: 4.134 4.134 4.134
angles: 90.00 90.00 90.00
Element x y z (fractional)
1 Si 0.000 0.000 0.000
2 B 0.200 0.500 0.500
3 B 0.500 0.200 0.500
4 B 0.500 0.500 0.200
5 B 0.500 0.500 0.800
6 B 0.500 0.800 0.500
7 B 0.800 0.500 0.500

Main lines, by intensity (2θ = 5–70°):
30.59°, I = 100; 37.69°, I = 55; 68.04°, I = 44; 49.29°, I = 36; 43.80°, I = 30; 63.67°, I = 4; 54.37°, I = 2; 21.50°, I = 1

Record 7
Simulated X-ray powder pattern of GaSe for λ = 1.5418 Å (Cu Kα), from a GGA-PBE-relaxed structure.
Intensities are scaled so that the largest is 100.

abc: 3.819 3.819 17.802
angles: 90.00 90.00 120.00
Element x y z (fractional)
1 Ga 0.000 0.000 0.069
2 Ga 0.000 0.000 0.931
3 Ga 0.333 0.667 0.431
4 Ga 0.333 0.667 0.569
5 Se 0.000 0.000 0.365
6 Se 0.000 0.000 0.635
7 Se 0.667 0.333 0.135
8 Se 0.667 0.333 0.865

Main lines, by intensity (2θ = 5–70°):
30.95°, I = 100; 44.96°, I = 97; 19.95°, I = 90; 27.43°, I = 84; 47.62°, I = 77; 9.94°, I = 71; 52.12°, I = 40; 67.57°, I = 28; 26.96°, I = 23; 33.76°, I = 22

Record 8
Simulated X-ray powder pattern of WSeS for λ = 1.5418 Å (Cu Kα), from a GGA-PBE-relaxed structure.
Intensities are scaled so that the largest is 100.

abc: 3.254 3.254 36.902
angles: 90.00 90.00 120.00
Element x y z (fractional)
1 W 0.333 0.667 0.094
2 W 0.333 0.667 0.718
3 W 0.667 0.333 0.282
4 W 0.667 0.333 0.906
5 Se 0.333 0.667 0.860
6 Se 0.333 0.667 0.952
7 Se 0.667 0.333 0.048
8 Se 0.667 0.333 0.140
9 S 0.333 0.667 0.240
10 S 0.333 0.667 0.324
11 S 0.667 0.333 0.676
12 S 0.667 0.333 0.760

Main lines, by intensity (2θ = 5–70°):
11.99°, I = 100; 37.39°, I = 57; 45.35°, I = 34; 31.78°, I = 29; 14.40°, I = 21; 56.58°, I = 20; 34.05°, I = 14; 47.21°, I = 13; 7.19°, I = 13; 32.60°, I = 12

Record 9
Simulated X-ray powder pattern of Ti8Cu3Ni for λ = 1.5418 Å (Cu Kα), from a GGA-PBE-relaxed structure.
Intensities are scaled so that the largest is 100.

abc: 2.942 2.942 21.061
angles: 90.00 90.00 90.00
Element x y z (fractional)
1 Ti 0.000 0.000 0.077
2 Ti 0.000 0.000 0.419
3 Ti 0.000 0.000 0.581
4 Ti 0.000 0.000 0.923
5 Ti 0.500 0.500 0.167
6 Ti 0.500 0.500 0.331
7 Ti 0.500 0.500 0.669
8 Ti 0.500 0.500 0.833
9 Cu 0.000 0.000 0.250
10 Cu 0.000 0.000 0.750
11 Cu 0.500 0.500 0.500
12 Ni 0.500 0.500 0.000

Main lines, by intensity (2θ = 5–70°):
39.98°, I = 100; 43.49°, I = 39; 63.20°, I = 12; 52.11°, I = 10; 16.84°, I = 5; 31.57°, I = 2; 53.51°, I = 2; 46.96°, I = 2; 65.92°, I = 1

Repeat the sixth record exactly.
Simulated X-ray powder pattern of SiB6 for λ = 1.5418 Å (Cu Kα), from a GGA-PBE-relaxed structure.
Intensities are scaled so that the largest is 100.

abc: 4.134 4.134 4.134
angles: 90.00 90.00 90.00
Element x y z (fractional)
1 Si 0.000 0.000 0.000
2 B 0.200 0.500 0.500
3 B 0.500 0.200 0.500
4 B 0.500 0.500 0.200
5 B 0.500 0.500 0.800
6 B 0.500 0.800 0.500
7 B 0.800 0.500 0.500

Main lines, by intensity (2θ = 5–70°):
30.59°, I = 100; 37.69°, I = 55; 68.04°, I = 44; 49.29°, I = 36; 43.80°, I = 30; 63.67°, I = 4; 54.37°, I = 2; 21.50°, I = 1

What did the seventh record say?
Simulated X-ray powder pattern of GaSe for λ = 1.5418 Å (Cu Kα), from a GGA-PBE-relaxed structure.
Intensities are scaled so that the largest is 100.

abc: 3.819 3.819 17.802
angles: 90.00 90.00 120.00
Element x y z (fractional)
1 Ga 0.000 0.000 0.069
2 Ga 0.000 0.000 0.931
3 Ga 0.333 0.667 0.431
4 Ga 0.333 0.667 0.569
5 Se 0.000 0.000 0.365
6 Se 0.000 0.000 0.635
7 Se 0.667 0.333 0.135
8 Se 0.667 0.333 0.865

Main lines, by intensity (2θ = 5–70°):
30.95°, I = 100; 44.96°, I = 97; 19.95°, I = 90; 27.43°, I = 84; 47.62°, I = 77; 9.94°, I = 71; 52.12°, I = 40; 67.57°, I = 28; 26.96°, I = 23; 33.76°, I = 22